The following is a theoretical X-ray diffraction stick pattern of SmNpCo2. It was derived from a DFT-relaxed cell (GGA-PBE, Alexandria), using CuKα.

Peak list (8 most intense, 2θ from 10° to 80°, in order of rising 2θ)
| 2θ (°) | intensity | hkl |
| --- | --- | --- |
| 17.3 | 28 | 0 0 3 |
| 27.2 | 71 | 0 1 2 |
| 34.0 | 100 | 1 0 4 |
| 35.0 | 26 | 0 0 6 |
| 43.3 | 70 | 1 1 0 |
| 56.1 | 24 | 0 2 4 |
| 56.8 | 40 | 1 1 6 |
| 73.4 | 22 | 2 1 4 |

Atomic structure:
Cell: 4.1832 4.1832 15.3954 Å, 90.00 90.00 120.00°
Space group R-3m (No. 166, hexagonal axes)
Inequivalent atoms, fractional coordinates:
Sm 0.0000 0.0000 0.0000 (multiplicity 3)
Np 0.0000 0.0000 0.5000 (multiplicity 3)
Co 0.0000 0.0000 0.2046 (multiplicity 6)